(1)
Starting from a crystal structure in Alexandria, relaxed with PBE, the powder diffraction line list of Ce3MnB7 was calculated for λ = 1.5418 Å (Cu Kα).
Lines closer than 0.1° are merged.

Crystal structure
a b c (Å): 3.4596 16.0352 9.4108
angles (deg): 90.00 90.00 90.00
Space group Cmcm (No. 63)
One atom of each set of equivalent atoms:
Ce  0.0000  0.1053  0.0651
Ce  0.0000  0.2487  0.7500
Mn  0.0000  0.0569  0.7500
B  0.0000  0.2738  0.0311
B  0.0000  0.3676  0.1545
B  0.0000  0.4680  0.7500
B  0.0000  0.4745  0.0978

Peak list (10 most intense, 10° ≤ 2θ ≤ 90°, by intensity)
| d [Å] | 2θ/deg | Rel. int. | hkl |
| --- | --- | --- | --- |
| 2.300 | 39.17 | 100 | 1 1 3 |
| 3.052 | 29.27 | 86 | 0 4 2 |
| 3.382 | 26.35 | 69 | 1 1 0 |
| 2.921 | 30.60 | 68 | 0 2 3 |
| 2.775 | 32.26 | 58 | 1 3 1 |
| 2.352 | 38.27 | 50 | 1 5 0 |
| 2.282 | 39.49 | 42 | 1 5 1 |
| 2.673 | 33.53 | 42 | 0 6 0 |
| 1.631 | 56.40 | 39 | 1 7 3 |
| 4.058 | 21.90 | 30 | 0 2 2 |


(2)
Starting from a crystal structure in Alexandria, relaxed with PBE, the powder diffraction line list of NdDyYHg was calculated for λ = 1.5418 Å (Cu Kα).
Lines closer than 0.1° are merged.

Crystal structure
a b c (Å): 3.6552 3.6552 8.9141
angles (deg): 90.00 90.00 90.00
Space group P4mm (No. 99)
One atom of each set of equivalent atoms:
Nd  0.0000  0.0000  0.0000
Dy  0.5000  0.5000  0.2819
Y  0.5000  0.5000  0.7139
Hg  0.0000  0.0000  0.4966

Peak list (10 most intense, 10° ≤ 2θ ≤ 90°, by intensity)
| d [Å] | 2θ/deg | Rel. int. | hkl |
| --- | --- | --- | --- |
| 2.826 | 31.66 | 100 | 1 0 2 |
| 2.585 | 34.71 | 42 | 1 1 0 |
| 1.535 | 60.31 | 32 | 2 1 2 |
| 1.688 | 54.36 | 17 | 1 1 4 |
| 1.828 | 49.90 | 15 | 2 0 0 |
| 2.229 | 40.48 | 10 | 0 0 4 |
| 1.413 | 66.12 | 10 | 2 0 4 |
| 2.306 | 39.07 | 8 | 1 0 3 |
| 1.156 | 83.67 | 7 | 3 1 0 |
| 1.175 | 81.98 | 7 | 3 0 2 |